1.
CaWBr2: theoretical X-ray powder pattern (λ = 1.5418 Å (Cu Kα)), based on a PBE-relaxed structure.

The 10 most intense peaks (10 to 80 degrees two-theta), in order of falling intensity:
- 2θ = 30.1°, rel. 100
- 2θ = 31.2°, rel. 49
- 2θ = 24.8°, rel. 39
- 2θ = 35.8°, rel. 35
- 2θ = 49.4°, rel. 30
- 2θ = 28.0°, rel. 26
- 2θ = 56.0°, rel. 25
- 2θ = 48.7°, rel. 23
- 2θ = 73.7°, rel. 21
- 2θ = 39.7°, rel. 21

Crystal structure
```
data_CaWBr2
_space_group_name_H-M_alt 'R -3 m'
_space_group_IT_number 166
_space_group_name_Hall '-R 3 2"'
_cell_length_a 3.6921
_cell_length_b 3.6921
_cell_length_c 32.2601
_cell_angle_alpha 90.00
_cell_angle_beta 90.00
_cell_angle_gamma 120.00
loop_
_atom_site_label
_atom_site_fract_x
_atom_site_fract_y
_atom_site_fract_z
Ca1 0.0000 0.0000 0.0000
W1 0.0000 0.0000 0.5000
Br1 0.0000 0.0000 0.2763
```

***

2.
CeHoFe4: theoretical X-ray powder pattern (λ = 1.5418 Å (Cu Kα)), based on a PBE-relaxed structure.

The 10 most intense peaks (10 to 80 degrees two-theta), in order of falling intensity:
- 2θ = 41.2°, rel. 100
- 2θ = 35.0°, rel. 66
- 2θ = 67.0°, rel. 30
- 2θ = 62.7°, rel. 24
- 2θ = 73.8°, rel. 22
- 2θ = 21.2°, rel. 15
- 2θ = 43.2°, rel. 15
- 2θ = 55.1°, rel. 4
- 2θ = 77.8°, rel. 3
- 2θ = 50.3°, rel. 1

Crystal structure
```
data_CeHoFe4
_space_group_name_H-M_alt 'F -4 3 m'
_space_group_IT_number 216
_space_group_name_Hall 'F -4 2 3'
_cell_length_a 7.2603
_cell_length_b 7.2603
_cell_length_c 7.2603
_cell_angle_alpha 90.00
_cell_angle_beta 90.00
_cell_angle_gamma 90.00
loop_
_atom_site_label
_atom_site_fract_x
_atom_site_fract_y
_atom_site_fract_z
Ce1 0.0000 0.0000 0.0000
Ho1 0.2500 0.2500 0.2500
Fe1 0.1251 0.1251 0.6251
```

***

3.
GdV2Fe10N: theoretical X-ray powder pattern (λ = 1.5418 Å (Cu Kα)), based on a PBE-relaxed structure.

The 10 most intense peaks (10 to 80 degrees two-theta), in order of falling intensity:
- 2θ = 42.6°, rel. 100
- 2θ = 43.5°, rel. 79
- 2θ = 29.9°, rel. 36
- 2θ = 42.2°, rel. 36
- 2θ = 42.3°, rel. 31
- 2θ = 48.6°, rel. 24
- 2θ = 36.7°, rel. 22
- 2θ = 36.8°, rel. 20
- 2θ = 71.4°, rel. 20
- 2θ = 37.7°, rel. 18

Crystal structure
```
data_GdV2Fe10N
_space_group_name_H-M_alt 'I m m m'
_space_group_IT_number 71
_space_group_name_Hall '-I 2 2'
_cell_length_a 4.7673
_cell_length_b 8.5403
_cell_length_c 8.5742
_cell_angle_alpha 90.00
_cell_angle_beta 90.00
_cell_angle_gamma 90.00
loop_
_atom_site_label
_atom_site_fract_x
_atom_site_fract_y
_atom_site_fract_z
Gd1 0.0000 0.0000 0.0000
V1 0.0000 0.0000 0.3584
Fe1 0.0000 0.2751 0.5000
Fe2 0.0000 0.3606 0.0000
Fe3 0.0000 0.5000 0.2766
Fe4 0.2500 0.2500 0.2500
N1 0.0000 0.5000 0.5000
```